Structure and computed powder XRD pattern of Dy5B2C5 (a GGA-PBE-relaxed structure; a wavelength of 1.5418 Å).
Kinematic intensities with the Lorentz-polarization factor, no thermal factor.

Structural model:
abc: 8.142 8.142 10.748
angles: 90.00 90.00 90.00
Fractional positions:
Dy  0.037  0.656  0.100
Dy  0.037  0.844  0.600
Dy  0.156  0.537  0.400
Dy  0.156  0.963  0.900
Dy  0.250  0.250  0.140
Dy  0.250  0.250  0.640
Dy  0.344  0.537  0.900
Dy  0.344  0.963  0.400
Dy  0.463  0.656  0.600
Dy  0.463  0.844  0.100
Dy  0.537  0.156  0.900
Dy  0.537  0.344  0.400
Dy  0.656  0.037  0.600
Dy  0.656  0.463  0.100
Dy  0.750  0.750  0.360
Dy  0.750  0.750  0.860
Dy  0.844  0.037  0.100
Dy  0.844  0.463  0.600
Dy  0.963  0.156  0.400
Dy  0.963  0.344  0.900
B  0.094  0.594  0.750
B  0.094  0.906  0.250
B  0.406  0.594  0.250
B  0.406  0.906  0.750
B  0.594  0.094  0.250
B  0.594  0.406  0.750
B  0.906  0.094  0.750
B  0.906  0.406  0.250
C  0.052  0.649  0.876
C  0.052  0.851  0.376
C  0.149  0.552  0.624
C  0.149  0.948  0.124
C  0.250  0.250  0.402
C  0.250  0.250  0.902
C  0.351  0.552  0.124
C  0.351  0.948  0.624
C  0.448  0.649  0.376
C  0.448  0.851  0.876
C  0.552  0.149  0.124
C  0.552  0.351  0.624
C  0.649  0.052  0.376
C  0.649  0.448  0.876
C  0.750  0.750  0.098
C  0.750  0.750  0.598
C  0.851  0.052  0.876
C  0.851  0.448  0.376
C  0.948  0.149  0.624
C  0.948  0.351  0.124

Largest 10 diffraction maxima, low angle first, 2θ = 10–80°:
d 3.448, I 31.5
d 3.014, I 100.0
d 2.687, I 31.2
d 2.575, I 32.2
d 2.553, I 57.3
d 2.504, I 57.9
d 1.859, I 16.7
d 1.820, I 17.0
d 1.650, I 24.3
d 1.558, I 32.7



Structure and computed powder XRD pattern of La2NdMg3CdIn2 (a GGA-PBE-relaxed structure; a wavelength of 1.5418 Å).
Kinematic intensities with the Lorentz-polarization factor, no thermal factor.

Structural model:
abc: 4.815 7.762 7.762
angles: 119.81 90.00 90.00
Fractional positions:
La  0.000  0.211  0.789
La  0.000  0.789  0.211
Nd  0.000  0.367  0.367
Mg  0.500  0.028  0.028
Mg  0.500  0.549  0.787
Mg  0.500  0.787  0.549
Cd  0.000  0.785  0.785
In  0.500  0.125  0.454
In  0.500  0.454  0.125

Largest 10 diffraction maxima, low angle first, 2θ = 10–80°:
d 3.885, I 25.7
d 3.364, I 19.8
d 3.023, I 66.3
d 2.758, I 100.0
d 2.407, I 26.6
d 2.250, I 15.7
d 2.245, I 19.6
d 1.741, I 12.9
d 1.641, I 15.2
d 1.448, I 13.5



Structure and computed powder XRD pattern of Li2Er2Cu15 (a GGA-PBE-relaxed structure; a wavelength of 1.5418 Å).
Kinematic intensities with the Lorentz-polarization factor, no thermal factor.

Structural model:
abc: 6.437 6.437 6.437
angles: 82.50 82.50 82.50
Fractional positions:
Li  0.094  0.094  0.094
Li  0.906  0.906  0.906
Er  0.346  0.346  0.346
Er  0.654  0.654  0.654
Cu  0.000  0.000  0.500
Cu  0.000  0.305  0.695
Cu  0.000  0.500  0.000
Cu  0.000  0.695  0.305
Cu  0.159  0.655  0.655
Cu  0.305  0.000  0.695
Cu  0.305  0.695  0.000
Cu  0.345  0.345  0.841
Cu  0.345  0.841  0.345
Cu  0.500  0.000  0.000
Cu  0.655  0.159  0.655
Cu  0.655  0.655  0.159
Cu  0.695  0.000  0.305
Cu  0.695  0.305  0.000
Cu  0.841  0.345  0.345

Largest 10 diffraction maxima, low angle first, 2θ = 10–80°:
d 6.340, I 20.8
d 2.976, I 33.8
d 2.451, I 24.9
d 2.383, I 15.1
d 2.122, I 37.5
d 2.113, I 100.0
d 2.087, I 32.8
d 1.892, I 19.5
d 1.488, I 18.1
d 1.340, I 18.2



Structure and computed powder XRD pattern of YErB4N (a GGA-PBE-relaxed structure; a wavelength of 1.5418 Å).
Kinematic intensities with the Lorentz-polarization factor, no thermal factor.

Structural model:
abc: 5.181 5.181 5.181
angles: 143.50 103.33 88.03
Fractional positions:
Y  0.000  0.000  0.000
Er  0.468  0.468  0.000
B  0.005  0.733  0.272
B  0.462  0.733  0.728
B  0.593  0.232  0.361
B  0.871  0.232  0.639
N  0.237  0.737  0.500

Largest 10 diffraction maxima, low angle first, 2θ = 10–80°:
d 4.867, I 28.4
d 3.726, I 48.2
d 3.214, I 52.6
d 2.897, I 66.6
d 2.434, I 51.4
d 2.287, I 100.0
d 1.788, I 21.2
d 1.612, I 38.4
d 1.567, I 18.9
d 1.350, I 15.9



Structure and computed powder XRD pattern of PmSBr (a GGA-PBE-relaxed structure; a wavelength of 1.5418 Å).
Kinematic intensities with the Lorentz-polarization factor, no thermal factor.

Structural model:
abc: 8.038 7.244 8.870
angles: 58.82 50.44 70.74
Fractional positions:
Pm  0.205  0.795  0.332
Pm  0.582  0.918  0.455
Pm  0.795  0.205  0.668
Pm  0.918  0.582  0.045
S  0.135  0.914  0.625
S  0.625  0.925  0.115
S  0.914  0.135  0.325
S  0.925  0.625  0.336
Br  0.406  0.496  0.840
Br  0.410  0.993  0.844
Br  0.496  0.406  0.257
Br  0.993  0.410  0.754

Largest 10 diffraction maxima, low angle first, 2θ = 10–80°:
d 4.382, I 82.7
d 3.777, I 54.2
d 3.674, I 98.6
d 3.407, I 47.6
d 2.771, I 100.0
d 2.651, I 32.4
d 2.424, I 82.3
d 2.292, I 41.0
d 2.201, I 43.6
d 2.140, I 33.8



Structure and computed powder XRD pattern of Cu3B5Pt9 (a GGA-PBE-relaxed structure; a wavelength of 1.5418 Å).
Kinematic intensities with the Lorentz-polarization factor, no thermal factor.

Structural model:
abc: 9.103 9.103 2.972
angles: 90.00 90.00 120.00
Fractional positions:
Cu  0.000  0.543  0.000
Cu  0.457  0.457  0.000
Cu  0.543  0.000  0.000
B  0.000  0.188  0.500
B  0.188  0.000  0.500
B  0.333  0.667  0.000
B  0.667  0.333  0.000
B  0.812  0.812  0.500
Pt  0.000  0.823  0.000
Pt  0.177  0.177  0.000
Pt  0.195  0.461  0.500
Pt  0.267  0.805  0.500
Pt  0.461  0.195  0.500
Pt  0.539  0.733  0.500
Pt  0.733  0.539  0.500
Pt  0.805  0.267  0.500
Pt  0.823  0.000  0.000

Largest 10 diffraction maxima, low angle first, 2θ = 10–80°:
d 2.979, I 53.4
d 2.781, I 48.1
d 2.628, I 32.8
d 2.488, I 29.6
d 2.187, I 78.8
d 2.104, I 100.0
d 1.970, I 27.2
d 1.807, I 52.1
d 1.278, I 33.2
d 1.229, I 24.8



Structure and computed powder XRD pattern of KPmO3 (a GGA-PBE-relaxed structure; a wavelength of 1.5418 Å).
Kinematic intensities with the Lorentz-polarization factor, no thermal factor.

Structural model:
abc: 6.294 6.294 6.294
angles: 62.32 62.32 62.32
Fractional positions:
K  0.120  0.120  0.120
K  0.880  0.880  0.880
Pm  0.354  0.354  0.354
Pm  0.646  0.646  0.646
O  0.044  0.497  0.680
O  0.320  0.956  0.503
O  0.497  0.680  0.044
O  0.503  0.320  0.956
O  0.680  0.044  0.497
O  0.956  0.503  0.320

Largest 10 diffraction maxima, low angle first, 2θ = 10–80°:
d 5.285, I 51.1
d 5.047, I 48.4
d 4.523, I 18.7
d 3.256, I 100.0
d 3.143, I 82.5
d 2.736, I 55.3
d 2.261, I 41.3
d 1.995, I 23.7
d 1.880, I 30.6
d 1.857, I 42.9



Structure and computed powder XRD pattern of CsCdFeS3 (a GGA-PBE-relaxed structure; a wavelength of 1.5418 Å).
Kinematic intensities with the Lorentz-polarization factor, no thermal factor.

Structural model:
abc: 8.091 3.613 10.986
angles: 90.00 106.82 90.00
Fractional positions:
Cs  0.005  0.250  0.281
Cs  0.995  0.750  0.719
Cd  0.491  0.750  0.370
Cd  0.509  0.250  0.630
Fe  0.453  0.250  0.095
Fe  0.547  0.750  0.905
S  0.291  0.750  0.526
S  0.292  0.750  0.141
S  0.362  0.250  0.884
S  0.638  0.750  0.116
S  0.708  0.250  0.859
S  0.709  0.250  0.474

Largest 10 diffraction maxima, low angle first, 2θ = 10–80°:
d 7.745, I 45.7
d 3.869, I 100.0
d 3.241, I 35.6
d 3.023, I 81.2
d 2.946, I 33.7
d 2.743, I 42.0
d 2.638, I 45.9
d 2.293, I 34.3
d 2.131, I 37.7
d 1.808, I 37.6